Diffraction record for CdWBrO. The XRD peak list is calculated, not measured: it uses DFT lattice parameters and positions (GGA+U) and Cu Kα.
Kinematic intensities with the Lorentz-polarization factor, no thermal factor.

Atomic structure:
a = 6.635 Å, b = 6.635 Å, c = 3.365 Å
α = 90.46°, β = 90.46°, γ = 52.99°
Fractional positions:
Cd (0.000, 0.000, 0.000)
W (0.502, 0.502, 0.999)
Br (0.678, 0.678, 0.505)
O (0.413, 0.413, 0.497)

The 8 most intense peaks (5 to 70 degrees two-theta), sorted by position:
Position (°2θ)	I (rel.)
14.92	100.0
16.73	42.3
30.16	66.0
30.42	31.7
30.66	31.9
33.83	27.7
43.39	24.0
43.57	24.4